1.
Structure and calculated X-ray diffraction stick pattern of Li2ScCd4 (a DFT-relaxed cell (PBE, Alexandria); copper Kα).
Kinematic intensities with the Lorentz-polarization factor, no thermal factor.

The 10 most intense peaks (5° ≤ 2θ ≤ 70°), by angle:
- hkl 0 0 3, 7.110 Å, 12.45°, rel. 23
- hkl 1 0 4, 3.276 Å, 27.22°, rel. 88
- hkl 0 1 5, 2.976 Å, 30.03°, rel. 22
- hkl 1 0 7, 2.457 Å, 36.58°, rel. 75
- hkl 1 1 0, 2.397 Å, 37.52°, rel. 100
- hkl 0 2 4, 1.935 Å, 46.97°, rel. 19
- hkl 0 1 11, 1.757 Å, 52.05°, rel. 23
- hkl 0 2 7, 1.716 Å, 53.40°, rel. 24
- hkl 2 1 4, 1.506 Å, 61.60°, rel. 17
- hkl 2 1 7, 1.395 Å, 67.08°, rel. 23

Crystal structure
Cell lengths 4.7947, 4.7947, 21.3312 Å; angles 90.00, 90.00, 120.00 degrees
Space group R-3m (No. 166, hexagonal axes)
Inequivalent atoms, fractional coordinates:
Li1 0.0000 0.0000 0.2277 [6 per cell]
Sc1 0.0000 0.0000 0.5000 [3 per cell]
Cd1 0.0000 0.0000 0.0910 [6 per cell]
Cd2 0.0000 0.0000 0.3617 [6 per cell]


2.
Structure and calculated X-ray diffraction stick pattern of CrMoRh4 (a DFT-relaxed cell (PBE, Alexandria); copper Kα).
Kinematic intensities with the Lorentz-polarization factor, no thermal factor.

The 10 most intense peaks (5° ≤ 2θ ≤ 70°), by angle:
- hkl 1 0 2, 3.693 Å, 24.10°, rel. 3
- hkl 0 1 3, 2.368 Å, 37.99°, rel. 24
- hkl 0 0 6, 2.355 Å, 38.22°, rel. 13
- hkl 2 0 0, 2.166 Å, 41.69°, rel. 37
- hkl 1 1 3, 2.078 Å, 43.55°, rel. 100
- hkl 1 0 6, 2.069 Å, 43.75°, rel. 47
- hkl 2 1 3, 1.599 Å, 57.67°, rel. 14
- hkl 2 0 6, 1.594 Å, 57.84°, rel. 8
- hkl 0 2 0, 1.370 Å, 68.48°, rel. 8
- hkl 0 1 9, 1.362 Å, 68.94°, rel. 16

Crystal structure
Cell lengths 4.3328, 2.7402, 14.1281 Å; angles 90.00, 90.00, 90.00 degrees
Space group Amm2 (No. 38)
Inequivalent atoms, fractional coordinates:
Cr1 0.0000 0.0000 0.0000 [2 per cell]
Mo1 0.5000 0.0000 0.7761 [2 per cell]
Rh1 0.0000 0.0000 0.3354 [2 per cell]
Rh2 0.0000 0.0000 0.6602 [2 per cell]
Rh3 0.5000 0.0000 0.1101 [2 per cell]
Rh4 0.5000 0.0000 0.4463 [2 per cell]


3.
Structure and calculated X-ray diffraction stick pattern of LiEuAl (a DFT-relaxed cell (PBE, Alexandria); copper Kα).
Kinematic intensities with the Lorentz-polarization factor, no thermal factor.

The 10 most intense peaks (5° ≤ 2θ ≤ 70°), by angle:
- hkl 0 0 2, 5.566 Å, 15.92°, rel. 63
- hkl 1 0 1, 3.455 Å, 25.79°, rel. 100
- hkl 0 0 4, 2.783 Å, 32.16°, rel. 17
- hkl 1 0 3, 2.596 Å, 34.54°, rel. 78
- hkl 1 1 0, 2.570 Å, 34.91°, rel. 39
- hkl 1 1 2, 2.333 Å, 38.59°, rel. 30
- hkl 1 0 5, 1.898 Å, 47.92°, rel. 14
- hkl 1 1 4, 1.888 Å, 48.20°, rel. 22
- hkl 2 1 1, 1.608 Å, 57.28°, rel. 22
- hkl 2 1 3, 1.489 Å, 62.37°, rel. 28

Crystal structure
Cell lengths 3.6346, 3.6346, 11.1317 Å; angles 90.00, 90.00, 90.00 degrees
Space group I4mm (No. 107)
Inequivalent atoms, fractional coordinates:
Li1 0.0000 0.0000 0.0000 [2 per cell]
Eu1 0.0000 0.0000 0.7077 [2 per cell]
Al1 0.0000 0.0000 0.3942 [2 per cell]


4.
Structure and calculated X-ray diffraction stick pattern of TaH6C2SeCl5 (a DFT-relaxed cell (PBE, Alexandria); copper Kα).
Kinematic intensities with the Lorentz-polarization factor, no thermal factor.

The 10 most intense peaks (5° ≤ 2θ ≤ 70°), by angle:
- hkl 0 2 0, 6.272 Å, 14.12°, rel. 15
- hkl 1 1 1, 6.089 Å, 14.55°, rel. 100
- hkl 0 0 2, 5.863 Å, 15.11°, rel. 29
- hkl 2 0 0, 4.329 Å, 20.52°, rel. 16
- hkl 0 2 2, 4.283 Å, 20.74°, rel. 9
- hkl 0 4 1, 3.030 Å, 29.48°, rel. 13
- hkl 3 1 1, 2.735 Å, 32.74°, rel. 17
- hkl 1 5 2, 2.228 Å, 40.48°, rel. 14
- hkl 4 0 2, 2.030 Å, 44.64°, rel. 8
- hkl 3 5 2, 1.801 Å, 50.67°, rel. 9

Crystal structure
Cell lengths 8.6581, 12.5442, 11.7253 Å; angles 90.00, 90.00, 90.00 degrees
Space group Cmc2_1 (No. 36)
Inequivalent atoms, fractional coordinates:
Ta1 0.0000 0.2074 0.0000 [4 per cell]
H1 0.1587 0.4848 0.2775 [8 per cell]
H2 0.1599 0.3720 0.7565 [8 per cell]
H3 0.2231 0.0684 0.3665 [8 per cell]
C1 0.1689 0.4370 0.8184 [8 per cell]
Se1 0.0000 0.4258 0.9292 [4 per cell]
Cl1 0.0000 0.0314 0.0572 [4 per cell]
Cl2 0.0000 0.1709 0.8042 [4 per cell]
Cl3 0.0000 0.2840 0.1830 [4 per cell]
Cl4 0.2315 0.2705 0.4958 [8 per cell]


5.
Structure and calculated X-ray diffraction stick pattern of LiCa5Ag6 (a DFT-relaxed cell (PBE, Alexandria); copper Kα).
Kinematic intensities with the Lorentz-polarization factor, no thermal factor.

The 10 most intense peaks (5° ≤ 2θ ≤ 70°), by angle:
- hkl 1 3 -1, 3.674 Å, 24.23°, rel. 48
- hkl 2 0 0, 3.603 Å, 24.71°, rel. 20
- hkl 2 0 -2, 2.615 Å, 34.29°, rel. 39
- hkl 0 6 0, 2.578 Å, 34.81°, rel. 100
- hkl 3 3 -1, 2.569 Å, 34.93°, rel. 66
- hkl 2 6 0, 2.098 Å, 43.12°, rel. 9
- hkl 2 6 -2, 1.837 Å, 49.63°, rel. 23
- hkl 1 3 -3, 1.503 Å, 61.70°, rel. 11
- hkl 5 3 -3, 1.499 Å, 61.89°, rel. 11
- hkl 3 9 -1, 1.487 Å, 62.44°, rel. 13

Crystal structure
Cell lengths 8.8867, 15.4862, 5.2298 Å; angles 90.00, 125.82, 90.00 degrees
Space group C2/m (No. 12)
Inequivalent atoms, fractional coordinates:
Li1 0.0000 0.0000 0.0000 [2 per cell]
Ca1 0.0000 0.1765 0.5000 [4 per cell]
Ca2 0.0000 0.3378 0.0000 [4 per cell]
Ca3 0.0000 0.5000 0.5000 [2 per cell]
Ag1 0.2179 0.0000 0.7204 [4 per cell]
Ag2 0.2243 0.1548 0.2227 [8 per cell]


6.
Structure and calculated X-ray diffraction stick pattern of Ca8CuNi2 (a DFT-relaxed cell (PBE, Alexandria); copper Kα).
Kinematic intensities with the Lorentz-polarization factor, no thermal factor.

The 10 most intense peaks (5° ≤ 2θ ≤ 70°), by angle:
- hkl 1 1 1, 4.672 Å, 19.00°, rel. 90
- hkl 0 2 1, 4.354 Å, 20.40°, rel. 95
- hkl 0 2 2, 3.771 Å, 23.60°, rel. 47
- hkl 1 2 2, 3.185 Å, 28.01°, rel. 81
- hkl 2 0 0, 2.976 Å, 30.03°, rel. 48
- hkl 1 3 2, 2.571 Å, 34.90°, rel. 49
- hkl 2 2 2, 2.336 Å, 38.54°, rel. 81
- hkl 0 4 2, 2.177 Å, 41.48°, rel. 100
- hkl 2 1 3, 2.058 Å, 43.99°, rel. 30
- hkl 2 4 2, 1.757 Å, 52.06°, rel. 64

Crystal structure
Cell lengths 5.9521, 8.7048, 8.7059 Å; angles 60.05, 89.99, 89.99 degrees
Space group P-1 (No. 2)
Inequivalent atoms, fractional coordinates:
Ca1 0.2455 0.1666 0.1665 [2 per cell]
Ca2 0.2513 0.1799 0.6612 [2 per cell]
Ca3 0.2514 0.6587 0.1799 [2 per cell]
Ca4 0.2514 0.6613 0.6588 [2 per cell]
Cu1 0.0000 0.5000 0.5000 [1 per cell]
Ni1 0.2565 0.8334 0.8334 [2 per cell]


7.
Structure and calculated X-ray diffraction stick pattern of Ce4CdPt12 (a DFT-relaxed cell (PBE, Alexandria); copper Kα).
Kinematic intensities with the Lorentz-polarization factor, no thermal factor.

The 10 most intense peaks (5° ≤ 2θ ≤ 70°), by angle:
- hkl 1 1 0, 6.133 Å, 14.44°, rel. 4
- hkl 2 0 0, 4.337 Å, 20.48°, rel. 8
- hkl 3 1 0, 2.743 Å, 32.65°, rel. 6
- hkl 2 2 2, 2.504 Å, 35.87°, rel. 100
- hkl 3 2 1, 2.318 Å, 38.85°, rel. 13
- hkl 4 0 0, 2.168 Å, 41.65°, rel. 57
- hkl 3 3 0, 2.044 Å, 44.31°, rel. 14
- hkl 3 3 2, 1.849 Å, 49.28°, rel. 15
- hkl 5 1 0, 1.701 Å, 53.90°, rel. 2
- hkl 4 4 0, 1.533 Å, 60.37°, rel. 30

Crystal structure
Cell lengths 8.6735, 8.6735, 8.6735 Å; angles 90.00, 90.00, 90.00 degrees
Space group Im-3m (No. 229)
Inequivalent atoms, fractional coordinates:
Ce1 0.2500 0.2500 0.2500 [8 per cell]
Cd1 0.0000 0.0000 0.0000 [2 per cell]
Pt1 0.0000 0.0000 0.3045 [12 per cell]
Pt2 0.0000 0.2500 0.5000 [12 per cell]


8.
Structure and calculated X-ray diffraction stick pattern of PrErP2Rh5 (a DFT-relaxed cell (PBE, Alexandria); copper Kα).
Kinematic intensities with the Lorentz-polarization factor, no thermal factor.

The 10 most intense peaks (5° ≤ 2θ ≤ 70°), by angle:
- hkl 0 0 3, 3.532 Å, 25.22°, rel. 23
- hkl 1 0 2, 3.229 Å, 27.62°, rel. 28
- hkl 1 1 1, 2.780 Å, 32.21°, rel. 17
- hkl 0 0 4, 2.649 Å, 33.84°, rel. 16
- hkl 1 1 2, 2.531 Å, 35.47°, rel. 100
- hkl 1 1 3, 2.232 Å, 40.41°, rel. 16
- hkl 2 0 0, 2.037 Å, 44.48°, rel. 46
- hkl 1 1 4, 1.950 Å, 46.58°, rel. 15
- hkl 0 0 6, 1.765 Å, 51.80°, rel. 20
- hkl 1 1 5, 1.707 Å, 53.70°, rel. 19

Crystal structure
Cell lengths 4.0735, 4.0735, 10.5954 Å; angles 90.00, 90.00, 90.00 degrees
Space group P4/mmm (No. 123)
Inequivalent atoms, fractional coordinates:
Pr1 0.0000 0.0000 0.0000 [1 per cell]
Er1 0.0000 0.0000 0.5000 [1 per cell]
P1 0.5000 0.5000 0.2146 [2 per cell]
Rh1 0.0000 0.5000 0.3068 [4 per cell]
Rh2 0.5000 0.5000 0.0000 [1 per cell]